1.
# MgMn4Zn2O8
Theoretical PXRD pattern, Cu Ka. Input: a structure optimized by DFT (GGA+U).
Intensities are scaled so that the largest is 100.

Crystal structure
```
data_MgMn4Zn2O8
_chemical_formula_sum 'Mg1 Mn4 Zn2 O8'
_cell_length_a 6.0196
_cell_length_b 6.0249
_cell_length_c 6.3645
_cell_angle_alpha 92.10
_cell_angle_beta 116.78
_cell_angle_gamma 118.49
_symmetry_space_group_name_H-M 'P 1'
_symmetry_Int_Tables_number 1
_symmetry_space_group_name_Hall 'P 1'
loop_
_atom_site_label
_atom_site_fract_x
_atom_site_fract_y
_atom_site_fract_z
Mg1 0.0000 0.0000 0.0000
Mn1 0.0005 0.5060 0.4921
Mn2 0.4934 0.9992 0.9889
Mn3 0.6885 0.8664 0.5280
Mn4 0.9978 0.5019 0.9912
Zn1 0.3197 0.1582 0.4573
Zn2 0.4972 0.4999 0.9901
O1 0.0072 0.2658 0.7757
O2 0.0142 0.2419 0.2552
O3 0.4330 0.7327 0.1602
O4 0.4850 0.2275 0.2200
O5 0.5191 0.7799 0.7722
O6 0.5561 0.2660 0.8130
O7 0.9895 0.7627 0.7420
O8 0.9964 0.7395 0.2183
```

Principal peaks in the range 2θ = 10–90°, in order of falling intensity:
2θ/deg  I/Imax  index
33.67  100  1 -2 1
34.24  73  0 2 -1
33.29  63  0 0 2
61.66  62  -4 2 2
40.29  44  2 0 0
29.69  44  1 -2 0


2.
# Co2Te3O8
Theoretical PXRD pattern, Cu Ka. Input: a structure optimized by DFT (GGA+U).
Intensities are scaled so that the largest is 100.

Crystal structure
```
data_Co2Te3O8
_chemical_formula_sum 'Co8 Te12 O32'
_cell_length_a 12.8859
_cell_length_b 5.2315
_cell_length_c 11.6767
_cell_angle_alpha 90.00
_cell_angle_beta 99.00
_cell_angle_gamma 90.00
_symmetry_space_group_name_H-M 'C 1 2/c 1'
_symmetry_Int_Tables_number 15
_symmetry_space_group_name_Hall '-C 2yc'
loop_
_atom_site_label
_atom_site_fract_x
_atom_site_fract_y
_atom_site_fract_z
Co1 0.2297 0.2012 0.3494
Te1 0.0000 0.1530 0.7500
Te2 0.1354 0.1949 0.0531
O1 0.0826 0.0717 0.3575
O2 0.1124 0.1239 0.6369
O3 0.1963 0.3733 0.1917
O4 0.2371 0.4914 0.9689
```

Principal peaks in the range 2θ = 10–90°, in order of falling intensity:
2θ/deg  I/Imax  index
30.55  100  1 1 3
27.23  96  3 1 -1
18.34  53  1 1 0
22.37  41  2 0 2
32.01  37  2 0 -4
34.27  32  4 0 2


3.
# MnMoO5
Theoretical PXRD pattern, Cu Ka. Input: a structure optimized by DFT (GGA+U).
Intensities are scaled so that the largest is 100.

Crystal structure
```
data_MnMoO5
_chemical_formula_sum 'Mn2 Mo2 O10'
_cell_length_a 5.5518
_cell_length_b 5.8232
_cell_length_c 7.1315
_cell_angle_alpha 100.08
_cell_angle_beta 95.21
_cell_angle_gamma 104.71
_symmetry_space_group_name_H-M 'P -1'
_symmetry_Int_Tables_number 2
_symmetry_space_group_name_Hall '-P 1'
loop_
_atom_site_label
_atom_site_fract_x
_atom_site_fract_y
_atom_site_fract_z
Mn1 0.1504 0.1960 0.2010
Mo1 0.2385 0.3793 0.7498
O1 0.1084 0.6252 0.8264
O2 0.1254 0.1329 0.8784
O3 0.1379 0.2692 0.5012
O4 0.3815 0.0441 0.2325
O5 0.4236 0.5110 0.2084
```

Principal peaks in the range 2θ = 10–90°, in order of falling intensity:
2θ/deg  I/Imax  index
19.76  100  1 -1 0
25.63  82  0 0 2
26.30  40  1 1 0
26.65  38  1 1 -1
31.79  29  1 1 1
33.15  28  2 -1 0


4.
# Li9Mn2Co5O16
Theoretical PXRD pattern, Cu Ka. Input: a structure optimized by DFT (GGA+U).
Intensities are scaled so that the largest is 100.

Crystal structure
```
data_Li9Mn2Co5O16
_chemical_formula_sum 'Li9 Mn2 Co5 O16'
_cell_length_a 5.8917
_cell_length_b 5.9082
_cell_length_c 8.1082
_cell_angle_alpha 90.55
_cell_angle_beta 91.04
_cell_angle_gamma 93.00
_symmetry_space_group_name_H-M 'P 1'
_symmetry_Int_Tables_number 1
_symmetry_space_group_name_Hall 'P 1'
loop_
_atom_site_label
_atom_site_fract_x
_atom_site_fract_y
_atom_site_fract_z
Li1 0.0000 0.0000 0.0000
Li2 0.9996 0.4968 0.4936
Li3 0.2484 0.7402 0.2488
Li4 0.2490 0.2574 0.2475
Li5 0.5025 0.4984 0.4912
Li6 0.5041 0.9992 0.4935
Li7 0.7534 0.7415 0.7438
Li8 0.7556 0.2558 0.7425
Li9 0.9990 0.4979 0.9981
Mn1 0.0009 0.9958 0.4933
Mn2 0.2461 0.7486 0.7451
Co1 0.2455 0.2559 0.7436
Co2 0.5013 0.5006 0.9973
Co3 0.5036 0.0008 0.9959
Co4 0.7551 0.2499 0.2458
Co5 0.7573 0.7394 0.2480
O1 0.0000 0.9807 0.2583
O2 0.0150 0.5140 0.7480
O3 0.0228 0.9871 0.7373
O4 0.2337 0.7679 0.5094
O5 0.2434 0.2354 0.5137
O6 0.2622 0.7644 0.9851
O7 0.2670 0.2652 0.9777
O8 0.4723 0.5165 0.7503
O9 0.4918 0.9884 0.7599
O10 0.5088 0.5109 0.2367
O11 0.5184 0.0152 0.2313
O12 0.7356 0.7343 0.0105
O13 0.7369 0.2408 0.0016
O14 0.7592 0.7602 0.4818
O15 0.7757 0.2230 0.4873
O16 0.9838 0.4798 0.2452
```

Principal peaks in the range 2θ = 10–90°, in order of falling intensity:
2θ/deg  I/Imax  index
18.47  100  1 0 -1
44.68  50  2 2 0
42.23  30  2 -2 0
35.08  17  1 -2 1
63.00  15  0 4 0
36.70  12  1 2 1


5.
# Fe2P3O12
Theoretical PXRD pattern, Cu Ka. Input: a structure optimized by DFT (GGA+U).
Intensities are scaled so that the largest is 100.

Crystal structure
```
data_Fe2P3O12
_chemical_formula_sum 'Fe12 P18 O72'
_cell_length_a 8.7572
_cell_length_b 8.7572
_cell_length_c 22.1384
_cell_angle_alpha 90.00
_cell_angle_beta 90.00
_cell_angle_gamma 120.00
_symmetry_space_group_name_H-M 'R -3 c'
_symmetry_Int_Tables_number 167
_symmetry_space_group_name_Hall '-R 3 2"c'
loop_
_atom_site_label
_atom_site_fract_x
_atom_site_fract_y
_atom_site_fract_z
Fe1 0.0000 0.0000 0.1421
P1 0.0000 0.2839 0.2500
O1 0.0301 0.2000 0.1935
O2 0.0313 0.1997 0.9097
```

Principal peaks in the range 2θ = 10–90°, in order of falling intensity:
2θ/deg  I/Imax  index
23.63  100  1 1 3
19.86  59  1 0 4
28.53  50  0 2 4
14.16  46  0 1 2
31.71  34  1 1 6
20.28  29  1 1 0


6.
# Sr8MgZn4W4O24
Theoretical PXRD pattern, Cu Ka. Input: a structure optimized by DFT (GGA+U).
Intensities are scaled so that the largest is 100.

Crystal structure
```
data_Sr8MgZn4W4O24
_chemical_formula_sum 'Sr8 Mg1 Zn4 W4 O24'
_cell_length_a 8.0543
_cell_length_b 8.1382
_cell_length_c 8.4040
_cell_angle_alpha 89.87
_cell_angle_beta 89.13
_cell_angle_gamma 88.19
_symmetry_space_group_name_H-M 'P 1'
_symmetry_Int_Tables_number 1
_symmetry_space_group_name_Hall 'P 1'
loop_
_atom_site_label
_atom_site_fract_x
_atom_site_fract_y
_atom_site_fract_z
Sr1 0.0000 0.0000 0.0000
Sr2 0.0105 0.5123 0.9965
Sr3 0.4474 0.9692 0.4896
Sr4 0.4630 0.4672 0.4973
Sr5 0.4874 0.5491 0.0016
Sr6 0.5028 0.9734 0.9942
Sr7 0.9455 0.4949 0.4754
Sr8 0.9649 0.9389 0.4777
Mg1 0.1008 0.2096 0.6641
Zn1 0.2294 0.7365 0.2462
Zn2 0.3669 0.2730 0.8379
Zn3 0.7090 0.2486 0.2018
Zn4 0.7301 0.7376 0.7422
W1 0.2263 0.7379 0.7377
W2 0.2267 0.2406 0.2458
W3 0.7269 0.7418 0.2408
W4 0.7385 0.2373 0.7543
O1 0.1838 0.9829 0.6931
O2 0.1963 0.0061 0.2865
O3 0.1989 0.2992 0.4688
O4 0.2127 0.7670 0.9814
O5 0.2494 0.7055 0.4957
O6 0.2594 0.4720 0.1938
O7 0.2638 0.1759 0.0195
O8 0.2662 0.4865 0.7839
O9 0.4665 0.2108 0.2883
O10 0.4675 0.7692 0.7577
O11 0.4869 0.7715 0.2223
O12 0.5036 0.2039 0.6629
O13 0.6161 0.2667 0.9733
O14 0.6995 0.5018 0.2692
O15 0.7047 0.4747 0.7104
O16 0.7117 0.7663 0.4722
O17 0.7443 0.7117 0.0103
O18 0.7531 0.9791 0.2130
O19 0.7537 0.9981 0.7922
O20 0.8718 0.2123 0.5509
O21 0.9624 0.2646 0.8499
O22 0.9681 0.7107 0.2559
O23 0.9882 0.7011 0.7186
O24 0.9888 0.2713 0.2070
```

Principal peaks in the range 2θ = 10–90°, in order of falling intensity:
2θ/deg  I/Imax  index
30.57  100  0 2 -2
31.00  39  2 0 -2
31.77  29  2 -2 0
30.76  28  2 2 0
44.56  19  0 4 0
43.06  19  0 0 4


7.
# CsFeF4
Theoretical PXRD pattern, Cu Ka. Input: a structure optimized by DFT (GGA+U).
Intensities are scaled so that the largest is 100.

Crystal structure
```
data_CsFeF4
_chemical_formula_sum 'Cs4 Fe4 F16'
_cell_length_a 7.9392
_cell_length_b 7.9392
_cell_length_c 6.6562
_cell_angle_alpha 90.00
_cell_angle_beta 90.00
_cell_angle_gamma 90.00
_symmetry_space_group_name_H-M 'P 4/n m m'
_symmetry_Int_Tables_number 129
loop_
_symmetry_equiv_pos_as_xyz
'x,y,z'
'-x,-y,-z'
'-y+1/2,x,z'
'y+1/2,-x,-z'
'-x+1/2,-y+1/2,z'
'x+1/2,y+1/2,-z'
'y,-x+1/2,z'
'-y,x+1/2,-z'
'x+1/2,-y,-z'
'-x+1/2,y,z'
'-y,-x,-z'
'y,x,z'
'-x,y+1/2,-z'
'x,-y+1/2,z'
'y+1/2,x+1/2,-z'
'-y+1/2,-x+1/2,z'
loop_
_atom_site_label
_atom_site_fract_x
_atom_site_fract_y
_atom_site_fract_z
Cs1 0.2500 0.2500 0.0489
Cs2 0.2500 0.7500 0.0000
Fe1 0.0000 0.0000 0.5000
F1 0.0027 0.7500 0.5468
F2 0.0290 0.0290 0.7813
```

Principal peaks in the range 2θ = 10–90°, in order of falling intensity:
2θ/deg  I/Imax  index
26.14  100  2 0 1
31.88  31  2 2 0
53.42  27  4 2 1
26.79  22  0 0 2
45.71  21  4 0 0
46.91  20  2 0 3


8.
# Mn2O3
Theoretical PXRD pattern, Cu Ka. Input: a structure optimized by DFT (GGA+U).
Intensities are scaled so that the largest is 100.

Crystal structure
```
data_Mn2O3
_chemical_formula_sum 'Mn32 O48'
_cell_length_a 9.6166
_cell_length_b 9.6166
_cell_length_c 9.6166
_cell_angle_alpha 90.00
_cell_angle_beta 90.00
_cell_angle_gamma 90.00
_symmetry_space_group_name_H-M 'I a -3'
_symmetry_Int_Tables_number 206
_symmetry_space_group_name_Hall '-I 2b 2c 3'
loop_
_atom_site_label
_atom_site_fract_x
_atom_site_fract_y
_atom_site_fract_z
Mn1 0.0000 0.2500 0.4643
Mn2 0.2500 0.2500 0.2500
O1 0.1055 0.1202 0.3355
```

Principal peaks in the range 2θ = 10–90°, in order of falling intensity:
2θ/deg  I/Imax  index
32.25  100  2 2 2
53.93  41  4 4 0
64.25  23  6 2 2
37.41  17  4 0 0
22.65  17  2 1 1
48.25  14  4 1 3